This entry pairs a crystal structure of Li4Co5SnO12 with its computed X-ray diffraction stick pattern. Radiation: Cu Ka. Structure: a GGA+U-relaxed structure.

Lattice parameters (Å, degrees): 5.083 5.088 19.844 92.54 92.60 119.23
Positions (direct):
Li1 0.000 0.000 0.000
Li2 0.077 0.083 0.260
Li3 0.164 0.845 0.501
Li4 0.244 0.928 0.760
Li5 0.499 0.508 0.501
Li6 0.580 0.587 0.760
Li7 0.661 0.345 0.001
Li8 0.744 0.422 0.259
Co1 0.038 0.048 0.130
Co2 0.120 0.466 0.380
Co3 0.206 0.885 0.630
Co4 0.287 0.299 0.880
Co5 0.452 0.131 0.380
Co6 0.539 0.551 0.631
Co7 0.620 0.967 0.880
Co8 0.703 0.383 0.130
Co9 0.785 0.798 0.380
Co10 0.954 0.633 0.880
Sn1 0.372 0.720 0.130
Sn2 0.868 0.213 0.630
O1 0.012 0.707 0.073
O2 0.028 0.385 0.184
O3 0.071 0.752 0.328
O4 0.171 0.180 0.432
O5 0.202 0.545 0.576
O6 0.233 0.230 0.687
O7 0.279 0.629 0.833
O8 0.289 0.990 0.931
O9 0.370 0.357 0.075
O10 0.383 0.079 0.188
O11 0.406 0.417 0.328
O12 0.458 0.804 0.428
O13 0.506 0.196 0.573
O14 0.544 0.890 0.688
O15 0.597 0.299 0.830
O16 0.651 0.636 0.931
O17 0.701 0.054 0.074
O18 0.731 0.725 0.187
O19 0.781 0.126 0.332
O20 0.834 0.516 0.432
O21 0.853 0.852 0.573
O22 0.883 0.578 0.687
O23 0.950 0.936 0.830
O24 0.958 0.307 0.928

Most intense lines, 10° ≤ 2θ ≤ 80°, in order of rising 2θ:
| two_theta | d (Å) | intensity |
| --- | --- | --- |
| 17.95 | 4.942 | 100.0 |
| 35.41 | 2.535 | 11.6 |
| 35.82 | 2.507 | 10.3 |
| 35.86 | 2.504 | 10.1 |
| 37.02 | 2.428 | 9.7 |
| 37.38 | 2.406 | 17.8 |
| 42.75 | 2.115 | 9.5 |
| 43.17 | 2.095 | 18.7 |
| 47.06 | 1.931 | 19.6 |
| 62.82 | 1.479 | 10.8 |

---

This entry pairs a crystal structure of Li4Co5SnO12 with its computed X-ray diffraction stick pattern. Radiation: Cu Ka. Structure: a GGA+U-relaxed structure.

Lattice parameters (Å, degrees): 5.060 5.060 19.792 92.46 92.46 119.73
Positions (direct):
Li1 0.205 0.205 0.122
Li2 0.291 0.300 0.377
Li3 0.370 0.040 0.623
Li4 0.450 0.126 0.878
Li5 0.700 0.709 0.623
Li6 0.795 0.795 0.878
Li7 0.874 0.550 0.122
Li8 0.960 0.630 0.377
Co1 0.161 0.839 0.000
Co2 0.247 0.253 0.250
Co3 0.331 0.669 0.500
Co4 0.414 0.086 0.750
Co5 0.494 0.506 0.000
Co6 0.666 0.334 0.500
Co7 0.747 0.753 0.750
Co8 0.832 0.168 0.000
Co9 0.914 0.586 0.250
Co10 0.995 0.005 0.500
Sn1 0.080 0.419 0.750
Sn2 0.581 0.920 0.250
O1 0.002 0.340 0.448
O2 0.037 0.701 0.552
O3 0.062 0.044 0.696
O4 0.099 0.793 0.803
O5 0.136 0.114 0.945
O6 0.168 0.512 0.048
O7 0.207 0.901 0.197
O8 0.242 0.581 0.303
O9 0.299 0.963 0.448
O10 0.362 0.376 0.553
O11 0.419 0.758 0.697
O12 0.455 0.438 0.804
O13 0.488 0.832 0.952
O14 0.498 0.192 0.050
O15 0.562 0.545 0.196
O16 0.599 0.295 0.304
O17 0.624 0.638 0.447
O18 0.660 0.998 0.552
O19 0.705 0.401 0.696
O20 0.742 0.082 0.804
O21 0.808 0.502 0.950
O22 0.886 0.864 0.055
O23 0.918 0.258 0.196
O24 0.956 0.938 0.304

Most intense lines, 10° ≤ 2θ ≤ 80°, in order of rising 2θ:
| two_theta | d (Å) | intensity |
| --- | --- | --- |
| 17.99 | 4.930 | 100.0 |
| 35.87 | 2.504 | 10.4 |
| 36.02 | 2.494 | 20.0 |
| 37.43 | 2.403 | 9.5 |
| 37.58 | 2.394 | 18.1 |
| 43.34 | 2.088 | 18.3 |
| 47.28 | 1.922 | 18.1 |
| 56.77 | 1.622 | 10.8 |
| 63.52 | 1.465 | 10.4 |
| 66.61 | 1.404 | 9.8 |